# LiFeP2O7
Simulated PXRD pattern, Cu Kα. Input: a cell relaxed with GGA+U.
Peak positions follow from Bragg's law for the DFT cell and can differ from measured ones.

Crystal structure
Cell lengths 9.6487, 8.1431, 13.4179 Å; angles 90.00, 110.92, 90.00 degrees
Space group C2/c (No. 15)
Inequivalent atoms, fractional coordinates:
Li 0.1066 0.1261 0.1290 (multiplicity 8)
Fe 0.1394 0.2632 0.6419 (multiplicity 8)
P 0.1233 0.4563 0.4264 (multiplicity 8)
P 0.1705 0.0758 0.8640 (multiplicity 8)
O 0.0136 0.4531 0.6453 (multiplicity 8)
O 0.0225 0.0899 0.8830 (multiplicity 8)
O 0.0854 0.3005 0.4766 (multiplicity 8)
O 0.1788 0.0929 0.3152 (multiplicity 8)
O 0.1999 0.4121 0.0214 (multiplicity 8)
O 0.2050 0.2208 0.8040 (multiplicity 8)
O 0.2396 0.4297 0.3744 (multiplicity 8)

Most intense lines, 2θ = 5–70°, sorted by position:
2theta, Rel. int., index
17.76, 100.0, 1 1 1
19.70, 12.7, 2 0 0
22.79, 17.7, 1 1 -3
28.49, 38.5, 0 0 4
29.59, 64.3, 2 2 -2
30.08, 41.3, 3 1 -1
30.66, 13.0, 0 2 3
32.11, 16.6, 2 2 1
35.30, 13.9, 1 1 4
35.98, 22.9, 2 2 2
42.21, 13.2, 1 1 5
43.78, 14.4, 3 3 -1



# LiFeP2O7
Simulated PXRD pattern, Cu Kα. Input: a cell relaxed with GGA+U.
Peak positions follow from Bragg's law for the DFT cell and can differ from measured ones.

Crystal structure
Cell lengths 4.9029, 8.2366, 7.0331 Å; angles 90.00, 108.85, 90.00 degrees
Space group P2_1 (No. 4)
Inequivalent atoms, fractional coordinates:
Li 0.1770 0.0000 0.1658 (multiplicity 2)
Fe 0.2166 0.6406 0.2336 (multiplicity 2)
P 0.2148 0.9254 0.5838 (multiplicity 2)
P 0.3990 0.3212 0.0236 (multiplicity 2)
O 0.0515 0.4681 0.3610 (multiplicity 2)
O 0.1395 0.8366 0.3817 (multiplicity 2)
O 0.1856 0.1793 0.9827 (multiplicity 2)
O 0.2460 0.4856 0.0125 (multiplicity 2)
O 0.4024 0.0742 0.5842 (multiplicity 2)
O 0.4018 0.7932 0.7452 (multiplicity 2)
O 0.4026 0.8199 0.1053 (multiplicity 2)

Most intense lines, 2θ = 5–70°, sorted by position:
2theta, Rel. int., index
17.13, 100.0, 0 1 1
21.99, 23.2, 1 1 0
22.29, 42.5, 1 1 -1
25.43, 15.9, 0 2 1
26.74, 23.5, 1 0 1
28.90, 25.6, 1 1 1
29.22, 54.3, 1 2 -1
29.58, 28.2, 1 1 -2
34.65, 17.0, 0 2 2
38.05, 9.0, 1 0 2
39.63, 12.8, 1 1 2
43.15, 13.1, 1 3 -2